# 1
# NdSm2ErSc
Calculated X-ray powder pattern, Cu Ka. Input: a DFT-relaxed cell (PBE, Alexandria).
Lines closer than 0.1° are merged.

Largest 6 diffraction maxima, by angle, 2θ = 15–90°:
d [Å], Rel. int.
3.085, 36.9
3.072, 15.9
2.962, 100.0
2.750, 29.0
2.637, 13.8
1.757, 22.7

Structure:
a = 6.1706 Å, b = 7.8244 Å, c = 6.6807 Å
α = 90.00°, β = 90.00°, γ = 90.00°
Sites, in units of the cell vectors:
Nd  0.2500  0.0000  0.1901
Nd  0.7500  0.0000  0.8099
Sm  0.2500  0.2105  0.7123
Sm  0.2500  0.7895  0.7123
Sm  0.7500  0.2105  0.2877
Sm  0.7500  0.7895  0.2877
Er  0.2500  0.5000  0.3976
Er  0.7500  0.5000  0.6024
Sc  0.0000  0.5000  0.0000
Sc  0.5000  0.5000  0.0000


# 2
# NdSm2Er5Sc
Calculated X-ray powder pattern, Cu Ka. Input: a DFT-relaxed cell (PBE, Alexandria).
Lines closer than 0.1° are merged.

Largest 6 diffraction maxima, by angle, 2θ = 15–90°:
d [Å], Rel. int.
3.286, 22.8
3.123, 19.1
2.910, 41.3
2.782, 46.5
2.731, 100.0
1.596, 19.9

Structure:
a = 10.2099 Å, b = 10.2099 Å, c = 10.3984 Å
α = 90.00°, β = 90.00°, γ = 148.38°
Sites, in units of the cell vectors:
Nd  0.0864  0.9136  0.5000
Nd  0.9136  0.0864  0.0000
Sm  0.3856  0.6144  0.7773
Sm  0.3882  0.6118  0.3587
Sm  0.6118  0.3882  0.8587
Sm  0.6144  0.3856  0.2773
Er  0.0186  0.9814  0.7824
Er  0.1239  0.8761  0.0630
Er  0.2025  0.7975  0.7488
Er  0.2230  0.7770  0.3664
Er  0.4820  0.5180  0.0641
Er  0.5180  0.4820  0.5641
Er  0.7770  0.2230  0.8664
Er  0.7975  0.2025  0.2488
Er  0.8761  0.1239  0.5630
Er  0.9814  0.0186  0.2824
Sc  0.3028  0.6972  0.0580
Sc  0.6972  0.3028  0.5580


# 3
# Tb2Nd4ErSc
Calculated X-ray powder pattern, Cu Ka. Input: a DFT-relaxed cell (PBE, Alexandria).
Lines closer than 0.1° are merged.

Largest 6 diffraction maxima, by angle, 2θ = 15–90°:
d [Å], Rel. int.
2.918, 100.0
2.553, 17.4
2.546, 17.2
2.484, 16.0
1.779, 23.4
1.535, 14.5

Structure:
a = 5.0916 Å, b = 5.1066 Å, c = 9.9372 Å
α = 90.00°, β = 90.00°, γ = 90.00°
Sites, in units of the cell vectors:
Tb  0.0000  0.0000  0.0000
Tb  0.5000  0.5000  0.5000
Nd  0.0000  0.5000  0.2453
Nd  0.0000  0.5000  0.7547
Nd  0.5000  0.0000  0.2459
Nd  0.5000  0.0000  0.7541
Er  0.0000  0.0000  0.5000
Sc  0.5000  0.5000  0.0000


# 4
# NdEr2ThSc4
Calculated X-ray powder pattern, Cu Ka. Input: a DFT-relaxed cell (PBE, Alexandria).
Lines closer than 0.1° are merged.

Largest 6 diffraction maxima, by angle, 2θ = 15–90°:
d [Å], Rel. int.
4.539, 28.6
3.520, 31.4
2.782, 100.0
2.489, 36.7
1.487, 29.2
1.390, 23.2

Structure:
a = 4.9786 Å, b = 4.9786 Å, c = 9.0776 Å
α = 90.00°, β = 90.00°, γ = 90.00°
Sites, in units of the cell vectors:
Nd  0.0000  0.0000  0.0000
Er  0.0000  0.0000  0.5000
Er  0.5000  0.5000  0.0000
Th  0.5000  0.5000  0.5000
Sc  0.0000  0.5000  0.2540
Sc  0.0000  0.5000  0.7460
Sc  0.5000  0.0000  0.2540
Sc  0.5000  0.0000  0.7460


# 5
# NdErScTl
Calculated X-ray powder pattern, Cu Ka. Input: a DFT-relaxed cell (PBE, Alexandria).
Lines closer than 0.1° are merged.

Largest 6 diffraction maxima, by angle, 2θ = 15–90°:
d [Å], Rel. int.
4.421, 17.4
2.708, 100.0
1.915, 18.2
1.563, 38.0
1.354, 11.7
1.211, 16.3

Structure:
a = 5.4152 Å, b = 5.4152 Å, c = 5.4152 Å
α = 60.00°, β = 60.00°, γ = 60.00°
Sites, in units of the cell vectors:
Nd  0.0000  0.0000  0.0000
Er  0.5000  0.5000  0.5000
Sc  0.7500  0.7500  0.7500
Tl  0.2500  0.2500  0.2500


# 6
# Nd4Er2TmSc
Calculated X-ray powder pattern, Cu Ka. Input: a DFT-relaxed cell (PBE, Alexandria).
Lines closer than 0.1° are merged.

Largest 6 diffraction maxima, by angle, 2θ = 15–90°:
d [Å], Rel. int.
2.905, 100.0
2.550, 35.0
2.451, 15.6
1.767, 23.2
1.532, 29.2
1.488, 13.4

Structure:
a = 5.0995 Å, b = 5.0995 Å, c = 9.8045 Å
α = 90.00°, β = 90.00°, γ = 90.00°
Sites, in units of the cell vectors:
Nd  0.0000  0.5000  0.2455
Nd  0.0000  0.5000  0.7545
Nd  0.5000  0.0000  0.2455
Nd  0.5000  0.0000  0.7545
Er  0.0000  0.0000  0.0000
Er  0.5000  0.5000  0.5000
Tm  0.0000  0.0000  0.5000
Sc  0.5000  0.5000  0.0000


# 7
# Nd6Er3Tm2Sc
Calculated X-ray powder pattern, Cu Ka. Input: a DFT-relaxed cell (PBE, Alexandria).
Lines closer than 0.1° are merged.

Largest 6 diffraction maxima, by angle, 2θ = 15–90°:
d [Å], Rel. int.
2.921, 100.0
2.874, 31.8
2.519, 66.6
1.793, 16.3
1.771, 23.3
1.521, 28.2

Structure:
a = 6.2098 Å, b = 6.2098 Å, c = 11.6791 Å
α = 95.08°, β = 95.08°, γ = 119.99°
Sites, in units of the cell vectors:
Nd  0.0822  0.4131  0.2472
Nd  0.2488  0.2488  0.7527
Nd  0.4131  0.0822  0.2472
Nd  0.5869  0.9178  0.7528
Nd  0.7512  0.7512  0.2473
Nd  0.9178  0.5869  0.7528
Er  0.1668  0.8332  0.5000
Er  0.5000  0.5000  0.5000
Er  0.8332  0.1668  0.5000
Tm  0.3334  0.6666  0.0000
Tm  0.6666  0.3334  0.0000
Sc  0.0000  0.0000  0.0000


# 8
# NdEr5TmSc2
Calculated X-ray powder pattern, Cu Ka. Input: a DFT-relaxed cell (PBE, Alexandria).
Lines closer than 0.1° are merged.

Largest 6 diffraction maxima, by angle, 2θ = 15–90°:
d [Å], Rel. int.
3.504, 20.7
3.326, 22.7
2.779, 59.1
2.734, 100.0
2.675, 72.9
2.571, 49.9

Structure:
a = 11.0488 Å, b = 11.0488 Å, c = 9.2461 Å
α = 90.00°, β = 90.00°, γ = 150.87°
Sites, in units of the cell vectors:
Nd  0.1845  0.8155  0.5000
Nd  0.8155  0.1845  0.0000
Er  0.0090  0.9910  0.5007
Er  0.2653  0.7347  0.1827
Er  0.3081  0.6919  0.7973
Er  0.3928  0.6072  0.4691
Er  0.4684  0.5316  0.7682
Er  0.5316  0.4684  0.2682
Er  0.6072  0.3928  0.9691
Er  0.6919  0.3081  0.2973
Er  0.7347  0.2653  0.6827
Er  0.9910  0.0090  0.0007
Tm  0.4033  0.5967  0.0966
Tm  0.5967  0.4033  0.5966
Sc  0.1132  0.8868  0.1926
Sc  0.1383  0.8617  0.8201
Sc  0.8617  0.1383  0.3201
Sc  0.8868  0.1132  0.6926


# 9
# Nd6Er2TmSc
Calculated X-ray powder pattern, Cu Ka. Input: a DFT-relaxed cell (PBE, Alexandria).
Lines closer than 0.1° are merged.

Largest 6 diffraction maxima, by angle, 2θ = 15–90°:
d [Å], Rel. int.
3.172, 50.8
3.135, 79.9
2.958, 86.1
2.885, 73.9
2.871, 100.0
2.861, 62.4

Structure:
a = 8.9205 Å, b = 8.9205 Å, c = 9.4156 Å
α = 93.49°, β = 93.49°, γ = 117.57°
Sites, in units of the cell vectors:
Nd  0.0079  0.4407  0.8048
Nd  0.1197  0.7690  0.5514
Nd  0.2310  0.8803  0.9486
Nd  0.2909  0.5131  0.3870
Nd  0.4407  0.0079  0.3048
Nd  0.4869  0.7091  0.1130
Nd  0.5131  0.2909  0.8870
Nd  0.5593  0.9921  0.6952
Nd  0.7091  0.4869  0.6130
Nd  0.7690  0.1197  0.0514
Nd  0.8803  0.2310  0.4486
Nd  0.9921  0.5593  0.1952
Er  0.2043  0.3004  0.0483
Er  0.3004  0.2043  0.5483
Er  0.6996  0.7957  0.4517
Er  0.7957  0.6996  0.9517
Tm  0.0270  0.9730  0.2500
Tm  0.9730  0.0270  0.7500
Sc  0.4204  0.5796  0.7500
Sc  0.5796  0.4204  0.2500


# 10
# Nd6ErTm2Sc
Calculated X-ray powder pattern, Cu Ka. Input: a DFT-relaxed cell (PBE, Alexandria).
Lines closer than 0.1° are merged.

Largest 6 diffraction maxima, by angle, 2θ = 15–90°:
d [Å], Rel. int.
3.162, 30.2
3.135, 46.5
2.957, 49.2
2.897, 27.5
2.876, 100.0
2.860, 35.7

Structure:
a = 8.9244 Å, b = 8.9244 Å, c = 9.3809 Å
α = 93.34°, β = 93.34°, γ = 117.53°
Sites, in units of the cell vectors:
Nd  0.0095  0.4422  0.8050
Nd  0.1194  0.7705  0.5516
Nd  0.2295  0.8806  0.9484
Nd  0.2906  0.5151  0.3877
Nd  0.4422  0.0095  0.3050
Nd  0.4849  0.7094  0.1123
Nd  0.5151  0.2906  0.8877
Nd  0.5578  0.9905  0.6950
Nd  0.7094  0.4849  0.6123
Nd  0.7705  0.1194  0.0516
Nd  0.8806  0.2295  0.4484
Nd  0.9905  0.5578  0.1950
Er  0.0279  0.9721  0.2500
Er  0.9721  0.0279  0.7500
Tm  0.2053  0.3013  0.0490
Tm  0.3013  0.2053  0.5490
Tm  0.6987  0.7947  0.4510
Tm  0.7947  0.6987  0.9510
Sc  0.4213  0.5787  0.7500
Sc  0.5787  0.4213  0.2500


# 11
# Nd2Er5TmSc
Calculated X-ray powder pattern, Cu Ka. Input: a DFT-relaxed cell (PBE, Alexandria).
Lines closer than 0.1° are merged.

Largest 6 diffraction maxima, by angle, 2θ = 15–90°:
d [Å], Rel. int.
3.061, 60.9
2.974, 52.8
2.879, 100.0
2.660, 26.5
2.308, 16.9
1.698, 22.2

Structure:
a = 9.8865 Å, b = 9.8865 Å, c = 9.8865 Å
α = 129.65°, β = 129.65°, γ = 73.96°
Sites, in units of the cell vectors:
Nd  0.1203  0.6203  0.7407
Nd  0.3797  0.1203  0.5000
Nd  0.6203  0.8797  0.5000
Nd  0.8797  0.3797  0.2593
Er  0.0000  0.0000  0.0000
Er  0.0680  0.1437  0.5000
Er  0.1437  0.6437  0.0757
Er  0.3563  0.4320  0.5000
Er  0.4320  0.9320  0.0757
Er  0.5000  0.5000  0.0000
Er  0.5680  0.0680  0.9243
Er  0.6437  0.5680  0.5000
Er  0.8563  0.3563  0.9243
Er  0.9320  0.8563  0.5000
Tm  0.2500  0.2500  0.0000
Tm  0.7500  0.7500  0.0000
Sc  0.2500  0.7500  0.5000
Sc  0.7500  0.2500  0.5000


# 12
# Nd4ErSe5
Calculated X-ray powder pattern, Cu Ka. Input: a DFT-relaxed cell (PBE, Alexandria).
Lines closer than 0.1° are merged.

Largest 6 diffraction maxima, by angle, 2θ = 15–90°:
d [Å], Rel. int.
3.426, 25.7
2.981, 48.4
2.960, 100.0
2.100, 71.5
2.093, 37.3
1.713, 37.7

Structure:
a = 15.1967 Å, b = 15.1967 Å, c = 15.1967 Å
α = 164.17°, β = 164.17°, γ = 22.46°
Sites, in units of the cell vectors:
Nd  0.1021  0.1021  0.0000
Nd  0.3054  0.3054  0.0000
Nd  0.6946  0.6946  0.0000
Nd  0.8979  0.8979  0.0000
Er  0.5000  0.5000  0.0000
Se  0.0000  0.0000  0.0000
Se  0.2030  0.2030  0.0000
Se  0.4052  0.4052  0.0000
Se  0.5948  0.5948  0.0000
Se  0.7970  0.7970  0.0000